Simulated powder diffraction line list
Compound: Mg4Si7
Radiation: Cu Kα, 1.54184 Å
Structure: a structure optimized by DFT (GGA-PBE)
Peak positions follow from Bragg's law for the DFT cell and can differ from measured ones.

Principal peaks in the range 10 to 80 degrees two-theta, sorted by position:
d_spacing, I (rel.)
2.542, 32
2.524, 100
2.473, 83
2.445, 55
2.399, 65
2.355, 75
2.300, 27
2.165, 33
2.117, 29
1.990, 91

Cell and atoms:
```
data_Mg4Si7
_chemical_formula_sum 'Mg8 Si14'
_cell_length_a 6.723
_cell_length_b 3.979
_cell_length_c 14.622
_cell_angle_alpha 90.00
_cell_angle_beta 92.32
_cell_angle_gamma 90.00
_symmetry_space_group_name_H-M 'P 1 m 1'
_symmetry_Int_Tables_number 6
loop_
_symmetry_equiv_pos_as_xyz
'x,y,z'
'x,-y,z'
loop_
_atom_site_label
_atom_site_type_symbol
_atom_site_fract_x
_atom_site_fract_y
_atom_site_fract_z
_atom_site_occupancy
Mg1 Mg 0.000 0.000 0.000 1
Mg2 Mg 0.002 0.000 0.532 1
Mg3 Mg 0.196 0.500 0.684 1
Mg4 Mg 0.370 0.000 0.839 1
Mg5 Mg 0.474 0.500 0.254 1
Mg6 Mg 0.504 0.000 0.610 1
Mg7 Mg 0.886 0.000 0.769 1
Mg8 Mg 0.989 0.500 0.350 1
Si1 Si 0.087 0.500 0.870 1
Si2 Si 0.130 0.500 0.129 1
Si3 Si 0.155 0.000 0.227 1
Si4 Si 0.294 0.500 0.496 1
Si5 Si 0.304 0.000 0.384 1
Si6 Si 0.339 0.500 0.999 1
Si7 Si 0.578 0.500 0.752 1
Si8 Si 0.587 0.000 0.006 1
Si9 Si 0.657 0.500 0.482 1
Si10 Si 0.675 0.000 0.382 1
Si11 Si 0.732 0.500 0.905 1
Si12 Si 0.754 0.500 0.114 1
Si13 Si 0.786 0.000 0.224 1
Si14 Si 0.811 0.500 0.631 1
```

***

Simulated powder diffraction line list
Compound: Mg2Si3
Radiation: Cu Kα, 1.54184 Å
Structure: a structure optimized by DFT (GGA-PBE)
Peak positions follow from Bragg's law for the DFT cell and can differ from measured ones.

Principal peaks in the range 10 to 80 degrees two-theta, sorted by position:
d_spacing, I (rel.)
5.475, 28
2.738, 58
2.435, 54
2.378, 26
2.331, 100
2.235, 84
2.212, 41
2.073, 54
2.037, 29
2.029, 32

Cell and atoms:
```
data_Mg2Si3
_chemical_formula_sum 'Mg4 Si6'
_cell_length_a 4.822
_cell_length_b 5.883
_cell_length_c 7.302
_cell_angle_alpha 97.87
_cell_angle_beta 102.37
_cell_angle_gamma 107.59
_symmetry_space_group_name_H-M 'P -1'
_symmetry_Int_Tables_number 2
loop_
_symmetry_equiv_pos_as_xyz
'x,y,z'
'-x,-y,-z'
loop_
_atom_site_label
_atom_site_type_symbol
_atom_site_fract_x
_atom_site_fract_y
_atom_site_fract_z
_atom_site_occupancy
Mg1 Mg 0.177 0.241 0.187 1
Mg2 Mg 0.307 0.190 0.604 1
Si1 Si 0.140 0.777 0.193 1
Si2 Si 0.218 0.686 0.585 1
Si3 Si 0.304 0.583 0.938 1
```

***

Simulated powder diffraction line list
Compound: Mg4Si7
Radiation: Cu Kα, 1.54184 Å
Structure: a structure optimized by DFT (GGA-PBE)
Peak positions follow from Bragg's law for the DFT cell and can differ from measured ones.

Principal peaks in the range 10 to 80 degrees two-theta, sorted by position:
d_spacing, I (rel.)
2.704, 100
2.508, 21
2.500, 29
2.454, 63
2.442, 24
2.432, 35
2.417, 25
2.409, 25
2.349, 48
1.886, 61

Cell and atoms:
```
data_Mg4Si7
_chemical_formula_sum 'Mg8 Si14'
_cell_length_a 3.772
_cell_length_b 6.737
_cell_length_c 15.833
_cell_angle_alpha 82.41
_cell_angle_beta 89.82
_cell_angle_gamma 89.97
_symmetry_space_group_name_H-M 'P 1'
_symmetry_Int_Tables_number 1
loop_
_symmetry_equiv_pos_as_xyz
'x,y,z'
loop_
_atom_site_label
_atom_site_type_symbol
_atom_site_fract_x
_atom_site_fract_y
_atom_site_fract_z
_atom_site_occupancy
Mg1 Mg 0.000 0.000 0.000 1
Mg2 Mg 0.000 0.116 0.174 1
Mg3 Mg 0.000 0.541 0.234 1
Mg4 Mg 0.496 0.272 0.651 1
Mg5 Mg 0.496 0.676 0.737 1
Mg6 Mg 0.499 0.196 0.324 1
Mg7 Mg 0.998 0.330 0.473 1
Mg8 Mg 0.999 0.851 0.392 1
Si1 Si 0.001 0.374 0.813 1
Si2 Si 0.001 0.553 0.057 1
Si3 Si 0.003 0.684 0.904 1
Si4 Si 0.498 0.018 0.509 1
Si5 Si 0.498 0.644 0.511 1
Si6 Si 0.500 0.260 0.902 1
Si7 Si 0.500 0.558 0.368 1
Si8 Si 0.500 0.775 0.112 1
Si9 Si 0.500 0.843 0.258 1
Si10 Si 0.501 0.311 0.051 1
Si11 Si 0.503 0.914 0.866 1
Si12 Si 0.991 0.028 0.755 1
Si13 Si 0.996 0.581 0.608 1
Si14 Si 0.996 0.951 0.611 1
```

***

Simulated powder diffraction line list
Compound: Mg5Si6
Radiation: Cu Kα, 1.54184 Å
Structure: a structure optimized by DFT (GGA-PBE)
Peak positions follow from Bragg's law for the DFT cell and can differ from measured ones.

Principal peaks in the range 10 to 80 degrees two-theta, sorted by position:
d_spacing, I (rel.)
4.116, 42
2.654, 88
2.574, 100
2.543, 26
2.419, 97
2.361, 68
2.222, 28
2.207, 39
2.136, 36
2.079, 89

Cell and atoms:
```
data_Mg5Si6
_chemical_formula_sum 'Mg20 Si24'
_cell_length_a 28.967
_cell_length_b 4.158
_cell_length_c 6.839
_cell_angle_alpha 90.00
_cell_angle_beta 93.29
_cell_angle_gamma 90.00
_symmetry_space_group_name_H-M 'C 1 2/m 1'
_symmetry_Int_Tables_number 12
loop_
_symmetry_equiv_pos_as_xyz
'x,y,z'
'-x,-y,-z'
'-x,y,-z'
'x,-y,z'
'x+1/2,y+1/2,z'
'-x+1/2,-y+1/2,-z'
'-x+1/2,y+1/2,-z'
'x+1/2,-y+1/2,z'
loop_
_atom_site_label
_atom_site_type_symbol
_atom_site_fract_x
_atom_site_fract_y
_atom_site_fract_z
_atom_site_occupancy
Mg1 Mg 0.043 0.000 0.324 1
Mg2 Mg 0.081 0.000 0.828 1
Mg3 Mg 0.132 0.500 0.160 1
Mg4 Mg 0.163 0.000 0.482 1
Mg5 Mg 0.202 0.000 0.987 1
Si1 Si 0.026 0.500 0.658 1
Si2 Si 0.042 0.500 0.023 1
Si3 Si 0.100 0.500 0.513 1
Si4 Si 0.154 0.500 0.786 1
Si5 Si 0.225 0.500 0.292 1
Si6 Si 0.230 0.500 0.658 1
```

***

Simulated powder diffraction line list
Compound: Mg4Si3
Radiation: Cu Kα, 1.54184 Å
Structure: a structure optimized by DFT (GGA-PBE)
Peak positions follow from Bragg's law for the DFT cell and can differ from measured ones.

Principal peaks in the range 10 to 80 degrees two-theta, sorted by position:
d_spacing, I (rel.)
2.623, 38
2.587, 36
2.550, 28
2.476, 100
2.402, 32
2.336, 49
2.229, 31
2.208, 67
2.169, 42
2.079, 27

Cell and atoms:
```
data_Mg4Si3
_chemical_formula_sum 'Mg8 Si6'
_cell_length_a 5.261
_cell_length_b 6.436
_cell_length_c 8.783
_cell_angle_alpha 102.28
_cell_angle_beta 105.29
_cell_angle_gamma 100.48
_symmetry_space_group_name_H-M 'P 1'
_symmetry_Int_Tables_number 1
loop_
_symmetry_equiv_pos_as_xyz
'x,y,z'
loop_
_atom_site_label
_atom_site_type_symbol
_atom_site_fract_x
_atom_site_fract_y
_atom_site_fract_z
_atom_site_occupancy
Mg1 Mg 0.000 0.000 0.000 1
Mg2 Mg 0.016 0.895 0.304 1
Mg3 Mg 0.084 0.497 0.989 1
Mg4 Mg 0.287 0.367 0.672 1
Mg5 Mg 0.368 0.889 0.765 1
Mg6 Mg 0.540 0.714 0.429 1
Mg7 Mg 0.630 0.337 0.148 1
Mg8 Mg 0.648 0.224 0.462 1
Si1 Si 0.029 0.589 0.461 1
Si2 Si 0.176 0.316 0.288 1
Si3 Si 0.469 0.906 0.157 1
Si4 Si 0.610 0.638 0.976 1
Si5 Si 0.829 0.628 0.716 1
Si6 Si 0.865 0.059 0.709 1
```

***

Simulated powder diffraction line list
Compound: Mg2Si3
Radiation: Cu Kα, 1.54184 Å
Structure: a structure optimized by DFT (GGA-PBE)
Peak positions follow from Bragg's law for the DFT cell and can differ from measured ones.

Principal peaks in the range 10 to 80 degrees two-theta, sorted by position:
d_spacing, I (rel.)
4.306, 29
2.710, 97
2.624, 36
2.570, 43
2.529, 29
2.521, 29
2.511, 79
2.439, 79
2.404, 73
2.067, 100

Cell and atoms:
```
data_Mg2Si3
_chemical_formula_sum 'Mg8 Si12'
_cell_length_a 4.136
_cell_length_b 5.862
_cell_length_c 16.177
_cell_angle_alpha 83.37
_cell_angle_beta 89.84
_cell_angle_gamma 71.24
_symmetry_space_group_name_H-M 'P -1'
_symmetry_Int_Tables_number 2
loop_
_symmetry_equiv_pos_as_xyz
'x,y,z'
'-x,-y,-z'
loop_
_atom_site_label
_atom_site_type_symbol
_atom_site_fract_x
_atom_site_fract_y
_atom_site_fract_z
_atom_site_occupancy
Mg1 Mg 0.081 0.339 0.259 1
Mg2 Mg 0.180 0.138 0.057 1
Mg3 Mg 0.319 0.859 0.439 1
Mg4 Mg 0.358 0.776 0.246 1
Si1 Si 0.076 0.348 0.455 1
Si2 Si 0.097 0.285 0.883 1
Si3 Si 0.246 0.000 0.674 1
Si4 Si 0.307 0.893 0.827 1
Si5 Si 0.442 0.608 0.626 1
Si6 Si 0.493 0.515 0.077 1
```

***

Simulated powder diffraction line list
Compound: Mg2Si3
Radiation: Cu Kα, 1.54184 Å
Structure: a structure optimized by DFT (GGA-PBE)
Peak positions follow from Bragg's law for the DFT cell and can differ from measured ones.

Principal peaks in the range 10 to 80 degrees two-theta, sorted by position:
d_spacing, I (rel.)
4.343, 29
2.500, 30
2.442, 59
2.436, 29
2.398, 27
2.296, 54
2.283, 100
2.182, 30
2.054, 28
1.779, 47

Cell and atoms:
```
data_Mg2Si3
_chemical_formula_sum 'Mg8 Si12'
_cell_length_a 3.557
_cell_length_b 5.263
_cell_length_c 20.128
_cell_angle_alpha 85.07
_cell_angle_beta 85.07
_cell_angle_gamma 70.96
_symmetry_space_group_name_H-M 'P -1'
_symmetry_Int_Tables_number 2
loop_
_symmetry_equiv_pos_as_xyz
'x,y,z'
'-x,-y,-z'
loop_
_atom_site_label
_atom_site_type_symbol
_atom_site_fract_x
_atom_site_fract_y
_atom_site_fract_z
_atom_site_occupancy
Mg1 Mg 0.054 0.074 0.313 1
Mg2 Mg 0.075 0.427 0.926 1
Mg3 Mg 0.230 0.263 0.785 1
Mg4 Mg 0.381 0.300 0.443 1
Si1 Si 0.098 0.861 0.449 1
Si2 Si 0.162 0.038 0.128 1
Si3 Si 0.279 0.316 0.624 1
Si4 Si 0.326 0.877 0.965 1
Si5 Si 0.349 0.492 0.302 1
Si6 Si 0.493 0.705 0.813 1
```

***

Simulated powder diffraction line list
Compound: Mg4Si3
Radiation: Cu Kα, 1.54184 Å
Structure: a structure optimized by DFT (GGA-PBE)
Peak positions follow from Bragg's law for the DFT cell and can differ from measured ones.

Principal peaks in the range 10 to 80 degrees two-theta, sorted by position:
d_spacing, I (rel.)
2.571, 29
2.560, 100
2.508, 26
2.481, 31
2.442, 82
2.412, 27
2.355, 36
2.184, 57
2.169, 29
2.139, 28

Cell and atoms:
```
data_Mg4Si3
_chemical_formula_sum 'Mg16 Si12'
_cell_length_a 6.253
_cell_length_b 7.713
_cell_length_c 12.056
_cell_angle_alpha 95.54
_cell_angle_beta 91.58
_cell_angle_gamma 109.82
_symmetry_space_group_name_H-M 'P 1'
_symmetry_Int_Tables_number 1
loop_
_symmetry_equiv_pos_as_xyz
'x,y,z'
loop_
_atom_site_label
_atom_site_type_symbol
_atom_site_fract_x
_atom_site_fract_y
_atom_site_fract_z
_atom_site_occupancy
Mg1 Mg 0.000 0.000 0.000 1
Mg2 Mg 0.029 0.550 0.959 1
Mg3 Mg 0.134 0.160 0.496 1
Mg4 Mg 0.173 0.170 0.792 1
Mg5 Mg 0.236 0.538 0.723 1
Mg6 Mg 0.295 0.155 0.238 1
Mg7 Mg 0.330 0.917 0.627 1
Mg8 Mg 0.390 0.621 0.225 1
Mg9 Mg 0.423 0.591 0.486 1
Mg10 Mg 0.569 0.678 0.974 1
Mg11 Mg 0.600 0.199 0.999 1
Mg12 Mg 0.628 0.142 0.464 1
Mg13 Mg 0.727 0.014 0.221 1
Mg14 Mg 0.848 0.702 0.761 1
Mg15 Mg 0.920 0.577 0.529 1
Mg16 Mg 0.924 0.682 0.179 1
Si1 Si 0.021 0.358 0.338 1
Si2 Si 0.226 0.852 0.382 1
Si3 Si 0.292 0.357 0.018 1
Si4 Si 0.299 0.865 0.868 1
Si5 Si 0.327 0.875 0.088 1
Si6 Si 0.516 0.343 0.647 1
Si7 Si 0.670 0.441 0.329 1
Si8 Si 0.694 0.989 0.814 1
Si9 Si 0.790 0.315 0.786 1
Si10 Si 0.793 0.908 0.595 1
Si11 Si 0.808 0.801 0.382 1
Si12 Si 0.981 0.329 0.133 1
```

***

Simulated powder diffraction line list
Compound: Mg3Si4
Radiation: Cu Kα, 1.54184 Å
Structure: a structure optimized by DFT (GGA-PBE)
Peak positions follow from Bragg's law for the DFT cell and can differ from measured ones.

Principal peaks in the range 10 to 80 degrees two-theta, sorted by position:
d_spacing, I (rel.)
2.443, 10
2.395, 90
2.348, 40
2.319, 100
2.127, 43
1.773, 16
1.577, 22
1.362, 13
1.274, 12
1.262, 13

Cell and atoms:
```
data_Mg3Si4
_chemical_formula_sum 'Mg6 Si8'
_cell_length_a 5.925
_cell_length_b 4.255
_cell_length_c 9.890
_cell_angle_alpha 90.00
_cell_angle_beta 95.12
_cell_angle_gamma 90.00
_symmetry_space_group_name_H-M 'P 1 2/m 1'
_symmetry_Int_Tables_number 10
loop_
_symmetry_equiv_pos_as_xyz
'x,y,z'
'-x,-y,-z'
'-x,y,-z'
'x,-y,z'
loop_
_atom_site_label
_atom_site_type_symbol
_atom_site_fract_x
_atom_site_fract_y
_atom_site_fract_z
_atom_site_occupancy
Mg1 Mg 0.000 0.000 0.000 1
Mg2 Mg 0.000 0.500 0.500 1
Mg3 Mg 0.138 0.000 0.299 1
Mg4 Mg 0.415 0.000 0.845 1
Si1 Si 0.084 0.500 0.825 1
Si2 Si 0.295 0.500 0.059 1
Si3 Si 0.334 0.000 0.561 1
Si4 Si 0.483 0.500 0.364 1
```

***

Simulated powder diffraction line list
Compound: Mg3Si4
Radiation: Cu Kα, 1.54184 Å
Structure: a structure optimized by DFT (GGA-PBE)
Peak positions follow from Bragg's law for the DFT cell and can differ from measured ones.

Principal peaks in the range 10 to 80 degrees two-theta, sorted by position:
d_spacing, I (rel.)
2.678, 65
2.599, 34
2.531, 93
2.501, 36
2.468, 79
2.382, 100
2.317, 72
2.246, 71
1.918, 31
1.885, 31

Cell and atoms:
```
data_Mg3Si4
_chemical_formula_sum 'Mg6 Si8'
_cell_length_a 5.698
_cell_length_b 6.914
_cell_length_c 7.612
_cell_angle_alpha 65.86
_cell_angle_beta 88.94
_cell_angle_gamma 78.93
_symmetry_space_group_name_H-M 'P 1'
_symmetry_Int_Tables_number 1
loop_
_symmetry_equiv_pos_as_xyz
'x,y,z'
loop_
_atom_site_label
_atom_site_type_symbol
_atom_site_fract_x
_atom_site_fract_y
_atom_site_fract_z
_atom_site_occupancy
Mg1 Mg 0.000 0.000 0.000 1
Mg2 Mg 0.011 0.369 0.592 1
Mg3 Mg 0.234 0.207 0.258 1
Mg4 Mg 0.486 0.286 0.860 1
Mg5 Mg 0.565 0.730 0.491 1
Mg6 Mg 0.833 0.561 0.939 1
Si1 Si 0.007 0.822 0.427 1
Si2 Si 0.105 0.927 0.675 1
Si3 Si 0.267 0.616 0.273 1
Si4 Si 0.311 0.614 0.950 1
Si5 Si 0.515 0.970 0.701 1
Si6 Si 0.543 0.851 0.059 1
Si7 Si 0.579 0.326 0.477 1
Si8 Si 0.732 0.173 0.235 1
```

***

Simulated powder diffraction line list
Compound: Mg5Si6
Radiation: Cu Kα, 1.54184 Å
Structure: a structure optimized by DFT (GGA-PBE)
Peak positions follow from Bragg's law for the DFT cell and can differ from measured ones.

Principal peaks in the range 10 to 80 degrees two-theta, sorted by position:
d_spacing, I (rel.)
2.773, 58
2.656, 46
2.592, 47
2.480, 93
2.412, 65
2.394, 100
2.379, 92
2.366, 46
2.362, 52
2.195, 49

Cell and atoms:
```
data_Mg5Si6
_chemical_formula_sum 'Mg10 Si12'
_cell_length_a 5.217
_cell_length_b 5.887
_cell_length_c 13.668
_cell_angle_alpha 84.38
_cell_angle_beta 85.29
_cell_angle_gamma 84.51
_symmetry_space_group_name_H-M 'P 1'
_symmetry_Int_Tables_number 1
loop_
_symmetry_equiv_pos_as_xyz
'x,y,z'
loop_
_atom_site_label
_atom_site_type_symbol
_atom_site_fract_x
_atom_site_fract_y
_atom_site_fract_z
_atom_site_occupancy
Mg1 Mg 0.000 0.000 0.000 1
Mg2 Mg 0.005 0.495 0.682 1
Mg3 Mg 0.244 0.891 0.336 1
Mg4 Mg 0.440 0.403 0.216 1
Mg5 Mg 0.464 0.806 0.730 1
Mg6 Mg 0.475 0.627 0.525 1
Mg7 Mg 0.509 0.921 0.128 1
Mg8 Mg 0.694 0.393 0.886 1
Mg9 Mg 0.758 0.194 0.379 1
Mg10 Mg 0.982 0.003 0.584 1
Si1 Si 0.023 0.726 0.178 1
Si2 Si 0.189 0.585 0.915 1
Si3 Si 0.241 0.203 0.834 1
Si4 Si 0.242 0.278 0.425 1
Si5 Si 0.480 0.100 0.561 1
Si6 Si 0.526 0.331 0.693 1
Si7 Si 0.529 0.907 0.926 1
Si8 Si 0.739 0.696 0.325 1
Si9 Si 0.876 0.489 0.061 1
Si10 Si 0.938 0.860 0.805 1
Si11 Si 0.976 0.161 0.184 1
Si12 Si 0.983 0.603 0.474 1
```